Entry 1:
For Pr2PaGaN5, a PBE-relaxed structure gives the computed powder diffractogram in this record (Cu Ka).

Structural model:
abc: 3.4836 14.3127 10.5780
angles: 90.00 90.00 90.00
Space group Cmc2_1 (No. 36)
Inequivalent atoms, fractional coordinates:
Pr 0.0000 0.1085 0.0000
Pr 0.0000 0.1245 0.6032
Pa 0.0000 0.2110 0.3111
Ga 0.0000 0.4889 0.7801
N 0.0000 0.0517 0.3540
N 0.0000 0.2847 0.9495
N 0.0000 0.3013 0.6760
N 0.0000 0.3678 0.3138
N 0.0000 0.4977 0.0946

Main lines, in order of rising 2θ (15 to 90 degrees two-theta):
26.31°, intensity 503, hkl 0 4 1; 28.21°, intensity 656, hkl 0 2 3; 30.15°, intensity 769, hkl 0 4 2; 31.81°, intensity 597, hkl 1 3 0; 32.94°, intensity 416, hkl 1 3 1; 36.81°, intensity 1000, hkl 1 1 3; 38.69°, intensity 380, hkl 0 6 1; 44.40°, intensity 465, hkl 1 5 2

---

Entry 2:
For Ba12Pd5Pt, a PBE-relaxed structure gives the computed powder diffractogram in this record (Cu Ka).

Structural model:
abc: 7.9324 14.1041 15.1204
angles: 90.00 90.01 90.00
Space group C2/m (No. 12)
Inequivalent atoms, fractional coordinates:
Ba 0.1620 0.1646 0.3862
Ba 0.1639 0.0000 0.1146
Ba 0.1638 0.3333 0.1151
Ba 0.1676 0.5000 0.3864
Pd 0.0000 0.1668 0.0000
Pd 0.0000 0.3330 0.5000
Pd 0.0000 0.5000 0.0000
Pt 0.0000 0.0000 0.5000

Main lines, in order of rising 2θ (15 to 90 degrees two-theta):
23.19°, intensity 282, hkl 2 0 1; 24.97°, intensity 1000, hkl 1 3 -2; 28.29°, intensity 569, hkl 1 3 -3; 28.64°, intensity 266, hkl 2 0 3; 32.73°, intensity 289, hkl 2 0 4; 37.12°, intensity 420, hkl 1 3 -5; 38.29°, intensity 241, hkl 0 6 0; 39.56°, intensity 604, hkl 3 3 1

---

Entry 3:
For Pr2YSb3Rh4, a PBE-relaxed structure gives the computed powder diffractogram in this record (Cu Ka).

Structural model:
abc: 4.4232 4.4232 11.4271
angles: 90.00 90.00 90.00
Space group P-4m2 (No. 115)
Inequivalent atoms, fractional coordinates:
Pr 0.0000 0.5000 0.2274
Y 0.0000 0.0000 0.5000
Sb 0.0000 0.5000 0.8706
Sb 0.5000 0.5000 0.5000
Rh 0.0000 0.0000 0.0000
Rh 0.0000 0.5000 0.6455
Rh 0.5000 0.5000 0.0000

Main lines, in order of rising 2θ (15 to 90 degrees two-theta):
30.98°, intensity 488, hkl 1 0 3; 32.64°, intensity 1000, hkl 1 1 2; 40.80°, intensity 623, hkl 2 0 0; 42.87°, intensity 295, hkl 1 1 4; 44.63°, intensity 273, hkl 1 0 5; 52.10°, intensity 224, hkl 2 1 3; 59.07°, intensity 206, hkl 2 2 0; 69.14°, intensity 224, hkl 3 1 2

---

Entry 4:
For Ba8Ni6N7, a PBE-relaxed structure gives the computed powder diffractogram in this record (Cu Ka).

Structural model:
abc: 9.6007 16.7887 12.0948
angles: 90.00 107.13 90.00
Space group C2/c (No. 15)
Inequivalent atoms, fractional coordinates:
Ba 0.0000 0.0827 0.2500
Ba 0.0000 0.2471 0.7500
Ba 0.0659 0.2979 0.1034
Ba 0.0858 0.4677 0.6428
Ba 0.2066 0.0897 0.5989
Ni 0.1384 0.0792 0.8859
Ni 0.2467 0.1190 0.1009
Ni 0.2491 0.2082 0.3675
N 0.0000 0.0848 0.7500
N 0.0000 0.4070 0.2500
N 0.1954 0.4418 0.0002
N 0.2382 0.1692 0.2287
N 0.2500 0.2500 0.5000

Main lines, in order of rising 2θ (15 to 90 degrees two-theta):
27.42°, intensity 842, hkl 1 3 -3; 28.17°, intensity 742, hkl 2 0 2; 28.30°, intensity 790, hkl 1 5 0; 29.22°, intensity 1000, hkl 3 1 -2; 30.08°, intensity 612, hkl 1 1 -4; 30.92°, intensity 749, hkl 0 0 4; 31.36°, intensity 910, hkl 2 4 1; 32.00°, intensity 883, hkl 0 6 0

---

Entry 5:
For Na6Mn3Br14, a PBE-relaxed structure gives the computed powder diffractogram in this record (Cu Ka).

Structural model:
abc: 11.0870 11.0870 6.8614
angles: 90.00 90.00 120.00
Space group P3 (No. 143)
Inequivalent atoms, fractional coordinates:
Na 0.0622 0.4618 0.0000
Na 0.2486 0.2099 0.4963
Mn 0.0000 0.0000 0.0832
Mn 0.3333 0.6667 0.5983
Mn 0.6667 0.3333 0.5105
Br 0.0000 0.0000 0.7206
Br 0.0386 0.2232 0.2326
Br 0.1613 0.7218 0.7559
Br 0.3333 0.6667 0.2368
Br 0.4643 0.1860 0.7203
Br 0.5144 0.3819 0.3001

Main lines, in order of rising 2θ (15 to 90 degrees two-theta):
15.88°, intensity 134, hkl 1 0 1; 15.99°, intensity 201, hkl 1 1 0; 24.53°, intensity 141, hkl 2 1 0; 25.97°, intensity 179, hkl 0 0 2; 27.81°, intensity 1000, hkl 3 -2 1; 36.03°, intensity 305, hkl 3 -2 2; 43.17°, intensity 362, hkl 1 4 0; 46.96°, intensity 282, hkl 2 1 3

---

Entry 6:
For Er2PuBi3, a PBE-relaxed structure gives the computed powder diffractogram in this record (Cu Ka).

Structural model:
abc: 4.4855 4.4855 18.9593
angles: 90.00 90.00 90.00
Space group I4/mmm (No. 139)
Inequivalent atoms, fractional coordinates:
Er 0.0000 0.0000 0.1665
Pu 0.0000 0.0000 0.5000
Bi 0.0000 0.0000 0.0000
Bi 0.0000 0.0000 0.3316

Main lines, in order of rising 2θ (15 to 90 degrees two-theta):
28.13°, intensity 853, hkl 1 1 0; 28.24°, intensity 422, hkl 0 0 6; 40.26°, intensity 1000, hkl 2 0 0; 49.86°, intensity 364, hkl 2 0 6; 65.87°, intensity 322, hkl 3 1 0; 66.07°, intensity 159, hkl 1 1 12; 73.13°, intensity 239, hkl 3 1 6; 73.29°, intensity 118, hkl 2 0 12

---

Entry 7:
For Dy2Er6Ga, a PBE-relaxed structure gives the computed powder diffractogram in this record (Cu Ka).

Structural model:
abc: 9.1250 17.0471 3.4897
angles: 90.00 90.00 90.00
Space group Cmmm (No. 65)
Inequivalent atoms, fractional coordinates:
Dy 0.0000 0.1792 0.0000
Er 0.1729 0.3386 0.5000
Er 0.2152 0.0000 0.0000
Ga 0.0000 0.5000 0.5000

Main lines, in order of rising 2θ (15 to 90 degrees two-theta):
27.87°, intensity 436, hkl 1 1 1; 31.49°, intensity 681, hkl 0 6 0; 31.65°, intensity 335, hkl 1 3 1; 33.41°, intensity 1000, hkl 3 3 0; 34.01°, intensity 680, hkl 2 2 1; 38.75°, intensity 388, hkl 2 4 1; 57.26°, intensity 350, hkl 3 9 0; 63.64°, intensity 435, hkl 3 3 2

---

Entry 8:
For Li3Ag2Pb3, a PBE-relaxed structure gives the computed powder diffractogram in this record (Cu Ka).

Structural model:
abc: 4.1520 4.5375 9.5890
angles: 103.42 102.10 90.14
Space group P-1 (No. 2)
Inequivalent atoms, fractional coordinates:
Li 0.0000 0.0000 0.0000
Li 0.1399 0.6390 0.2764
Ag 0.2526 0.2528 0.5037
Pb 0.3652 0.8672 0.7329
Pb 0.5000 0.5000 0.0000

Main lines, in order of rising 2θ (15 to 90 degrees two-theta):
21.96°, intensity 992, hkl 1 0 -1; 24.44°, intensity 460, hkl 0 1 1; 24.54°, intensity 464, hkl 0 1 -2; 35.23°, intensity 1000, hkl 1 1 1; 35.32°, intensity 499, hkl -1 1 2; 35.48°, intensity 492, hkl 1 1 -3; 39.58°, intensity 339, hkl 0 0 4; 39.73°, intensity 370, hkl 0 2 -1

---

Entry 9:
For CaSm3Y3, a PBE-relaxed structure gives the computed powder diffractogram in this record (Cu Ka).

Structural model:
abc: 6.8931 8.6113 9.3645
angles: 65.81 71.95 77.11
Space group P-1 (No. 2)
Inequivalent atoms, fractional coordinates:
Ca 0.0194 0.0948 0.1337
Sm 0.1191 0.4779 0.1612
Sm 0.2735 0.0476 0.4365
Sm 0.4589 0.8030 0.9930
Y 0.1659 0.6634 0.4200
Y 0.3169 0.2461 0.6947
Y 0.4112 0.6177 0.7246

Main lines, in order of rising 2θ (15 to 90 degrees two-theta):
27.91°, intensity 356, hkl -1 1 2; 30.83°, intensity 369, hkl 2 2 2; 31.91°, intensity 1000, hkl 1 2 -1; 32.07°, intensity 491, hkl 0 2 3; 49.33°, intensity 191, hkl 1 -3 2; 55.42°, intensity 153, hkl 3 4 1; 59.22°, intensity 163, hkl 3 -1 4; 59.99°, intensity 119, hkl -3 1 3